Entry 1:
# Ba2TmMg12Zn3
Theoretical XRD peak list, Cu Kα (λ = 1.5418 Å). Input: a PBE-relaxed structure.

Peak list (10 most intense, 2θ from 10° to 90°, sorted by position)
2theta	d (Å)	I/Imax	(hkl)
13.8	6.440	74	0 1 2
20.1	4.428	83	1 1 0
22.0	4.034	59	0 1 5
23.0	3.863	62	1 1 3
23.5	3.786	60	0 2 1
24.4	3.649	81	2 0 2
28.8	3.099	100	1 0 7
31.8	2.816	65	1 2 2
36.3	2.473	97	1 2 5
40.8	2.214	64	2 2 0

Cell and atoms:
a = 8.8559 Å, b = 8.8559 Å, c = 23.7176 Å
α = 90.00°, β = 90.00°, γ = 120.00°
Space group R-3m (No. 166, hexagonal axes)
Symmetry-distinct sites (fractional):
Ba (0.0000, 0.0000, 0.0848) x6
Tm (0.0000, 0.0000, 0.5000) x3
Mg (0.0815, 0.5407, 0.8772) x18
Mg (0.1010, 0.5505, 0.2762) x18
Zn (0.0000, 0.5000, 0.0000) x9



Entry 2:
# BaYMg14
Theoretical XRD peak list, Cu Kα (λ = 1.5418 Å). Input: a PBE-relaxed structure.

Peak list (10 most intense, 2θ from 10° to 90°, sorted by position)
2theta	d (Å)	I/Imax	(hkl)
15.1	5.853	39	1 0 0
22.8	3.908	38	1 0 2
30.5	2.926	30	2 0 0
31.5	2.842	15	1 1 2
34.2	2.625	23	0 0 4
35.1	2.556	100	2 0 2
46.5	1.954	21	2 0 4
54.3	1.690	25	2 2 0
61.8	1.502	18	2 0 6
65.7	1.421	19	2 2 4

Cell and atoms:
a = 6.7583 Å, b = 6.7583 Å, c = 10.5016 Å
α = 90.00°, β = 90.00°, γ = 120.00°
Space group P-6m2 (No. 187)
Symmetry-distinct sites (fractional):
Ba (0.0000, 0.0000, 0.0000) x1
Y (0.0000, 0.0000, 0.5000) x1
Mg (0.0026, 0.5013, 0.5000) x3
Mg (0.0162, 0.5081, 0.0000) x3
Mg (0.1741, 0.3481, 0.2595) x6
Mg (0.6667, 0.3333, 0.2468) x2



Entry 3:
# BaMg9Zn3
Theoretical XRD peak list, Cu Kα (λ = 1.5418 Å). Input: a PBE-relaxed structure.

Peak list (10 most intense, 2θ from 10° to 90°, sorted by position)
2theta	d (Å)	I/Imax	(hkl)
12.4	7.164	38	0 0 1
17.9	4.942	34	1 1 -1
24.6	3.617	28	0 4 0
24.8	3.596	28	1 1 1
25.1	3.554	25	1 3 -1
30.4	2.944	32	1 3 1
35.3	2.546	100	0 4 2
35.4	2.535	26	1 5 -1
35.7	2.513	54	2 2 0
36.4	2.471	53	2 2 -2

Cell and atoms:
a = 5.717 Å, b = 14.469 Å, c = 7.641 Å
α = 90.00°, β = 110.36°, γ = 90.00°
Space group C2/m (No. 12)
Symmetry-distinct sites (fractional):
Ba (0.000, 0.000, 0.000) x2
Mg (0.000, 0.000, 0.500) x2
Mg (0.098, 0.386, 0.218) x8
Mg (0.165, 0.181, 0.346) x8
Zn (0.000, 0.500, 0.500) x2
Zn (0.250, 0.250, 0.000) x4



Entry 4:
# Ba5MgZn2
Theoretical XRD peak list, Cu Kα (λ = 1.5418 Å). Input: a PBE-relaxed structure.

Peak list (10 most intense, 2θ from 10° to 90°, sorted by position)
2theta	d (Å)	I/Imax	(hkl)
11.0	8.070	13	0 0 2
21.9	4.053	31	2 1 1
27.0	3.306	100	2 1 3
29.2	3.057	35	2 0 4
30.2	2.962	43	3 1 0
35.1	2.557	14	2 1 5
43.2	2.093	17	4 1 3
44.9	2.019	18	0 0 8
46.9	1.937	19	3 3 4
55.5	1.655	14	4 4 0

Cell and atoms:
a = 9.367 Å, b = 9.367 Å, c = 16.139 Å
α = 90.00°, β = 90.00°, γ = 90.00°
Space group I4/mcm (No. 140)
Symmetry-distinct sites (fractional):
Ba (0.000, 0.000, 0.000) x4
Ba (0.165, 0.335, 0.138) x16
Mg (0.000, 0.000, 0.250) x4
Zn (0.116, 0.384, 0.500) x8



Entry 5:
# BaMg2Zn
Theoretical XRD peak list, Cu Kα (λ = 1.5418 Å). Input: a PBE-relaxed structure.

Peak list (10 most intense, 2θ from 10° to 90°, sorted by position)
2theta	d (Å)	I/Imax	(hkl)
21.6	4.122	100	1 1 0
23.2	3.839	33	2 0 0
28.8	3.105	69	2 0 -2
29.3	3.047	32	0 0 2
32.4	2.767	75	2 0 1
36.8	2.443	79	0 2 0
47.7	1.907	33	0 2 2
47.8	1.903	16	3 1 1
49.8	1.831	22	4 0 -3
54.7	1.678	19	1 1 3

Cell and atoms:
a = 8.454 Å, b = 4.890 Å, c = 6.721 Å
α = 90.00°, β = 114.94°, γ = 90.00°
Space group Cm (No. 8)
Symmetry-distinct sites (fractional):
Ba (0.000, 0.000, 0.000) x2
Mg (0.021, 0.500, 0.564) x2
Mg (0.303, 0.500, 0.411) x2
Zn (0.192, 0.000, 0.578) x2



Entry 6:
# BaMgZn3
Theoretical XRD peak list, Cu Kα (λ = 1.5418 Å). Input: a PBE-relaxed structure.

Peak list (10 most intense, 2θ from 10° to 90°, sorted by position)
2theta	d (Å)	I/Imax	(hkl)
24.7	3.606	43	1 0 2
27.9	3.194	37	1 1 0
31.7	2.818	100	1 1 2
36.0	2.496	88	1 0 4
39.9	2.259	61	2 0 0
54.8	1.675	50	2 1 4
57.7	1.597	20	2 2 0
67.4	1.389	22	3 1 2
76.3	1.248	16	2 0 8
83.7	1.156	15	3 2 4

Cell and atoms:
a = 4.517 Å, b = 4.517 Å, c = 11.978 Å
α = 90.00°, β = 90.00°, γ = 90.00°
Space group P4_2/mmc (No. 131)
Symmetry-distinct sites (fractional):
Ba (0.000, 0.000, 0.250) x2
Mg (0.000, 0.500, 0.000) x2
Zn (0.000, 0.500, 0.500) x2
Zn (0.500, 0.500, 0.134) x4



Entry 7:
# BaMg3Zn3
Theoretical XRD peak list, Cu Kα (λ = 1.5418 Å). Input: a PBE-relaxed structure.

Peak list (10 most intense, 2θ from 10° to 90°, sorted by position)
2theta	d (Å)	I/Imax	(hkl)
11.4	7.737	58	1 0 0
29.5	3.025	37	2 0 1
30.6	2.924	25	1 2 0
34.8	2.579	15	3 0 0
35.9	2.505	100	1 2 1
37.0	2.427	26	0 0 2
46.3	1.963	14	1 3 1
54.3	1.688	14	4 1 0
66.0	1.416	16	1 2 3
67.6	1.386	14	4 1 2

Cell and atoms:
a = 8.9334 Å, b = 8.9334 Å, c = 4.8542 Å
α = 90.00°, β = 90.00°, γ = 120.00°
Space group P6_3/m (No. 176)
Symmetry-distinct sites (fractional):
Ba (0.3333, 0.6667, 0.2500) x2
Mg (0.0260, 0.2494, 0.7500) x6
Zn (0.0582, 0.6121, 0.7500) x6



Entry 8:
# Ba6MgZn5
Theoretical XRD peak list, Cu Kα (λ = 1.5418 Å). Input: a PBE-relaxed structure.

Peak list (10 most intense, 2θ from 10° to 90°, sorted by position)
2theta	d (Å)	I/Imax	(hkl)
21.4	4.153	14	1 0 1
30.4	2.936	100	2 0 -1
43.5	2.081	6	2 0 2
43.6	2.074	12	0 4 0
54.1	1.697	19	3 2 0
54.1	1.694	19	3 2 -3
63.4	1.467	6	4 0 -2
72.0	1.312	8	4 0 -5
88.0	1.110	6	5 2 -1
88.1	1.109	9	5 2 -4

Cell and atoms:
a = 5.871 Å, b = 8.294 Å, c = 9.290 Å
α = 90.00°, β = 108.25°, γ = 90.00°
Space group P2/m (No. 10)
Symmetry-distinct sites (fractional):
Ba (0.000, 0.238, 0.000) x2
Ba (0.329, 0.247, 0.659) x4
Mg (0.500, 0.500, 0.000) x1
Zn (0.157, 0.500, 0.315) x2
Zn (0.166, 0.000, 0.333) x2
Zn (0.500, 0.000, 0.000) x1



Entry 9:
# Ba2Mg16Zn
Theoretical XRD peak list, Cu Kα (λ = 1.5418 Å). Input: a PBE-relaxed structure.

Peak list (10 most intense, 2θ from 10° to 90°, sorted by position)
2theta	d (Å)	I/Imax	(hkl)
16.8	5.283	64	1 1 0
24.1	3.688	75	1 1 3
29.3	3.050	66	3 0 0
30.3	2.952	32	0 2 4
33.9	2.641	74	2 2 0
34.2	2.625	100	3 0 3
34.8	2.576	51	0 0 6
48.9	1.862	39	1 4 3
49.4	1.844	34	2 2 6
62.0	1.496	24	3 0 9

Cell and atoms:
a = 10.5659 Å, b = 10.5659 Å, c = 15.4537 Å
α = 90.00°, β = 90.00°, γ = 120.00°
Space group R3m (No. 160, hexagonal axes)
Symmetry-distinct sites (fractional):
Ba (0.0000, 0.0000, 0.0000) x3
Ba (0.0000, 0.0000, 0.3284) x3
Mg (0.0000, 0.0000, 0.5778) x3
Mg (0.0001, 0.2920, 0.6649) x18
Mg (0.0032, 0.5016, 0.5108) x9
Mg (0.1673, 0.3345, 0.1512) x9
Mg (0.1693, 0.3387, 0.4982) x9
Zn (0.0000, 0.0000, 0.7679) x3



Entry 10:
# Ba3Mg4Zn4
Theoretical XRD peak list, Cu Kα (λ = 1.5418 Å). Input: a PBE-relaxed structure.

Peak list (10 most intense, 2θ from 10° to 90°, sorted by position)
2theta	d (Å)	I/Imax	(hkl)
20.4	4.344	12	2 0 0
25.1	3.547	37	2 1 1
29.1	3.072	100	2 2 0
32.6	2.747	38	3 1 0
44.2	2.048	21	4 1 1
46.8	1.943	25	4 2 0
49.2	1.852	14	3 3 2
51.5	1.773	24	4 2 2
64.3	1.448	18	6 0 0
72.1	1.310	13	6 2 2

Cell and atoms:
a = 8.688 Å, b = 8.688 Å, c = 8.688 Å
α = 90.00°, β = 90.00°, γ = 90.00°
Space group I-43m (No. 217)
Symmetry-distinct sites (fractional):
Ba (0.000, 0.000, 0.500) x6
Mg (0.130, 0.130, 0.130) x8
Zn (0.191, 0.191, 0.809) x8



Entry 11:
# Ba2Mg5Zn4
Theoretical XRD peak list, Cu Kα (λ = 1.5418 Å). Input: a PBE-relaxed structure.

Peak list (10 most intense, 2θ from 10° to 90°, sorted by position)
2theta	d (Å)	I/Imax	(hkl)
16.3	5.431	74	2 0 0
24.1	3.690	72	3 1 -1
25.9	3.441	68	1 1 -2
28.1	3.181	60	0 2 0
31.6	2.828	35	2 0 -3
32.6	2.745	74	2 2 0
34.6	2.590	100	1 1 2
37.8	2.379	33	5 1 -1
38.4	2.342	57	5 1 -3
43.3	2.090	52	6 0 -1

Cell and atoms:
a = 13.666 Å, b = 6.361 Å, c = 8.704 Å
α = 90.00°, β = 127.36°, γ = 90.00°
Space group C2/m (No. 12)
Symmetry-distinct sites (fractional):
Ba (0.218, 0.000, 0.156) x4
Mg (0.000, 0.500, 0.000) x2
Mg (0.047, 0.250, 0.355) x8
Zn (0.132, 0.000, 0.693) x4
Zn (0.226, 0.500, 0.393) x4



Entry 12:
# Ba4Mg3Zn
Theoretical XRD peak list, Cu Kα (λ = 1.5418 Å). Input: a PBE-relaxed structure.

Peak list (10 most intense, 2θ from 10° to 90°, sorted by position)
2theta	d (Å)	I/Imax	(hkl)
21.1	4.219	58	0 1 2
26.1	3.415	100	1 1 1
27.0	3.308	18	0 0 4
27.9	3.193	55	1 0 3
31.6	2.832	24	0 1 4
32.5	2.758	25	1 1 3
32.7	2.739	28	0 2 0
38.9	2.314	17	2 0 0
43.5	2.079	32	1 2 3
63.0	1.475	21	1 2 7

Cell and atoms:
a = 4.627 Å, b = 5.477 Å, c = 13.233 Å
α = 90.00°, β = 90.00°, γ = 90.00°
Space group Pmm2 (No. 25)
Symmetry-distinct sites (fractional):
Ba (0.000, 0.000, 0.000) x1
Ba (0.000, 0.500, 0.276) x1
Ba (0.500, 0.000, 0.472) x1
Ba (0.500, 0.500, 0.787) x1
Mg (0.000, 0.000, 0.694) x1
Mg (0.000, 0.500, 0.568) x1
Mg (0.500, 0.500, 0.074) x1
Zn (0.500, 0.000, 0.194) x1